Starting from DFT lattice parameters and positions (PBE), the powder diffraction line list of NaLi3 was computed for CuKα.
Kinematic intensities with the Lorentz-polarization factor, no thermal factor.

Cell and atoms:
Cell lengths 3.4012, 3.4012, 16.6225 Å; angles 90.00, 90.00, 90.00 degrees
Space group P4/nmm (No. 129, origin choice 2)
One atom of each set of equivalent atoms:
Na 0.2500 0.2500 0.0895
Li 0.2500 0.2500 0.3399
Li 0.2500 0.2500 0.5545
Li 0.2500 0.2500 0.7670

Most intense lines, 2θ = 10–80°, in order of rising 2θ:
2theta	I/Imax
26.79	48
28.35	70
30.85	94
34.06	100
37.39	67
37.83	27
46.62	28
63.44	29

***

Starting from DFT lattice parameters and positions (PBE), the powder diffraction line list of AcLa8Th3 was computed for CuKα.
Kinematic intensities with the Lorentz-polarization factor, no thermal factor.

Cell and atoms:
Cell lengths 6.4376, 6.4376, 12.0769 Å; angles 90.00, 90.00, 120.00 degrees
Space group P-31m (No. 162)
One atom of each set of equivalent atoms:
Ac 0.0000 0.0000 0.0000
La 0.0000 0.3359 0.7379
La 0.3333 0.6667 0.0000
Th 0.0000 0.0000 0.5000
Th 0.3333 0.6667 0.5000

Most intense lines, 2θ = 10–80°, in order of rising 2θ:
2theta	I/Imax
28.70	27
29.59	30
31.50	100
35.72	16
49.02	23
53.71	22
58.30	27
59.44	17

***

Starting from DFT lattice parameters and positions (PBE), the powder diffraction line list of Sc7C was computed for CuKα.
Kinematic intensities with the Lorentz-polarization factor, no thermal factor.

Cell and atoms:
Cell lengths 8.7773, 8.7773, 8.7773 Å; angles 90.00, 90.00, 90.00 degrees
Space group Fm-3m (No. 225)
One atom of each set of equivalent atoms:
Sc 0.0000 0.0000 0.0000
Sc 0.0000 0.2500 0.2500
C 0.0000 0.0000 0.5000

Most intense lines, 2θ = 10–80°, in order of rising 2θ:
2theta	I/Imax
17.50	6
20.23	3
33.87	4
35.43	100
41.14	48
59.58	28
71.27	31
74.96	9

***

Starting from DFT lattice parameters and positions (PBE), the powder diffraction line list of CsU4Se12 was computed for CuKα.
Kinematic intensities with the Lorentz-polarization factor, no thermal factor.

Cell and atoms:
Cell lengths 10.7848, 10.7848, 10.7848 Å; angles 90.00, 90.00, 90.00 degrees
Space group Im-3 (No. 204)
One atom of each set of equivalent atoms:
Cs 0.0000 0.0000 0.0000
U 0.2500 0.2500 0.2500
Se 0.0000 0.2523 0.2496

Most intense lines, 2θ = 10–80°, in order of rising 2θ:
2theta	I/Imax
16.44	100
23.33	37
33.23	61
37.29	54
41.00	18
47.70	44
50.79	28
79.49	20

***

Starting from DFT lattice parameters and positions (PBE), the powder diffraction line list of LiCu2Rh4O8 was computed for CuKα.
Kinematic intensities with the Lorentz-polarization factor, no thermal factor.

Cell and atoms:
Cell lengths 6.0019, 6.0019, 15.7875 Å; angles 90.00, 90.00, 120.00 degrees
Space group R-3m (No. 166, hexagonal axes)
One atom of each set of equivalent atoms:
Li 0.0000 0.0000 0.0000
Cu 0.0000 0.0000 0.1469
Rh 0.0000 0.0000 0.5000
Rh 0.0000 0.5000 0.0000
O 0.0000 0.0000 0.2664
O 0.0232 0.5116 0.2534

Most intense lines, 2θ = 10–80°, in order of rising 2θ:
2theta	I/Imax
17.97	45
34.07	26
34.40	100
34.99	39
36.40	27
41.61	51
58.75	33
61.83	36

***

Starting from DFT lattice parameters and positions (PBE), the powder diffraction line list of Nd2Y3Bi2Sb2 was computed for CuKα.
Kinematic intensities with the Lorentz-polarization factor, no thermal factor.

Cell and atoms:
Cell lengths 6.0928, 6.0928, 15.4011 Å; angles 90.00, 90.00, 90.00 degrees
Space group I4/mmm (No. 139)
One atom of each set of equivalent atoms:
Nd 0.0000 0.0000 0.0913
Y 0.0000 0.0000 0.5000
Y 0.0000 0.5000 0.2500
Bi 0.0000 0.0000 0.2968
Sb 0.0000 0.5000 0.0000

Most intense lines, 2θ = 10–80°, in order of rising 2θ:
2theta	I/Imax
20.62	21
29.32	100
32.57	62
37.65	16
41.94	38
44.39	53
62.71	19
68.94	28

***

Starting from DFT lattice parameters and positions (PBE), the powder diffraction line list of Dy5Y3Sc2 was computed for CuKα.
Kinematic intensities with the Lorentz-polarization factor, no thermal factor.

Cell and atoms:
Cell lengths 10.5787, 15.7040, 9.2165 Å; angles 90.00, 124.90, 90.00 degrees
Space group C2/c (No. 15)
One atom of each set of equivalent atoms:
Dy 0.0000 0.0221 0.2500
Dy 0.0000 0.2183 0.2500
Dy 0.0000 0.2833 0.7500
Dy 0.2467 0.1428 0.7359
Y 0.0000 0.4853 0.7500
Y 0.1508 0.1290 0.0454
Sc 0.1463 0.3638 0.5482

Most intense lines, 2θ = 10–80°, in order of rising 2θ:
2theta	I/Imax
23.54	32
30.73	100
31.21	39
31.27	40
33.90	40
36.32	20
50.26	16
50.53	16

***

Starting from DFT lattice parameters and positions (PBE), the powder diffraction line list of La2TbP2Br2 was computed for CuKα.
Kinematic intensities with the Lorentz-polarization factor, no thermal factor.

Cell and atoms:
Cell lengths 5.3041, 5.3041, 15.5444 Å; angles 90.00, 90.00, 90.00 degrees
Space group I4/mmm (No. 139)
One atom of each set of equivalent atoms:
La 0.0000 0.0000 0.1049
Tb 0.0000 0.0000 0.5000
P 0.0000 0.5000 0.0000
Br 0.0000 0.0000 0.3068

Most intense lines, 2θ = 10–80°, in order of rising 2θ:
2theta	I/Imax
11.39	26
23.72	98
33.41	100
33.80	60
48.26	71
48.55	21
54.73	20
70.87	22

***

Starting from DFT lattice parameters and positions (PBE), the powder diffraction line list of InSn5 was computed for CuKα.
Kinematic intensities with the Lorentz-polarization factor, no thermal factor.

Cell and atoms:
Cell lengths 4.5481, 15.6311, 4.6705 Å; angles 90.00, 90.00, 90.00 degrees
Space group Cmmm (No. 65)
One atom of each set of equivalent atoms:
In 0.0000 0.0000 0.0000
Sn 0.0000 0.1666 0.5000
Sn 0.0000 0.3334 0.0000
Sn 0.0000 0.5000 0.5000

Most intense lines, 2θ = 10–80°, in order of rising 2θ:
2theta	I/Imax
32.41	100
34.43	21
38.55	16
39.63	15
52.63	13
60.40	17
65.90	13
67.38	13

***

Starting from DFT lattice parameters and positions (PBE), the powder diffraction line list of SnH3SBr3 was computed for CuKα.
Kinematic intensities with the Lorentz-polarization factor, no thermal factor.

Cell and atoms:
Cell lengths 6.1657, 8.2623, 8.6676 Å; angles 90.00, 93.02, 90.00 degrees
Space group Pc (No. 7)
One atom of each set of equivalent atoms:
Sn 0.0000 0.2285 0.0000
H 0.4861 0.4484 0.4686
H 0.4951 0.2830 0.2952
H 0.7679 0.3870 0.3808
S 0.5897 0.3027 0.4435
Br 0.0121 0.0355 0.3098
Br 0.4520 0.2668 0.0276
Br 0.9792 0.4676 0.7575

Most intense lines, 2θ = 10–80°, in order of rising 2θ:
2theta	I/Imax
14.39	59
14.82	100
29.00	52
29.90	85
32.22	23
32.86	42
41.33	27
42.94	30

***

Starting from DFT lattice parameters and positions (PBE), the powder diffraction line list of Tb12Pr2Tm5 was computed for CuKα.
Kinematic intensities with the Lorentz-polarization factor, no thermal factor.

Cell and atoms:
Cell lengths 6.7154, 8.8261, 11.3432 Å; angles 110.95, 92.35, 100.60 degrees
Space group P-1 (No. 2)
One atom of each set of equivalent atoms:
Tb 0.1123 0.1916 0.2262
Tb 0.1146 0.3495 0.7558
Tb 0.1639 0.9426 0.5850
Tb 0.3404 0.9302 0.3132
Tb 0.3543 0.5274 0.1410
Tb 0.3817 0.7184 0.7531
Pr 0.1153 0.7592 0.0127
Tm 0.0000 0.5000 0.5000
Tm 0.3454 0.1153 0.9319
Tm 0.4558 0.3188 0.5351

Most intense lines, 2θ = 10–80°, in order of rising 2θ:
2theta	I/Imax
31.15	25
31.38	19
31.53	100
32.04	32
32.24	43
32.41	42
33.04	40
33.82	16

***

Starting from DFT lattice parameters and positions (PBE), the powder diffraction line list of Th2Al3 was computed for CuKα.
Kinematic intensities with the Lorentz-polarization factor, no thermal factor.

Cell and atoms:
Cell lengths 4.2968, 5.8987, 9.5176 Å; angles 90.00, 90.00, 90.00 degrees
Space group Immm (No. 71)
One atom of each set of equivalent atoms:
Th 0.0000 0.0000 0.2100
Al 0.0000 0.2763 0.5000
Al 0.0000 0.5000 0.0000

Most intense lines, 2θ = 10–80°, in order of rising 2θ:
2theta	I/Imax
18.65	46
25.65	79
30.30	28
31.90	100
32.03	28
35.16	23
35.82	35
54.88	27